For K3IrBrF6, the GGA-PBE geometry in OQMD gives the calculated powder diffractogram in this record (Cu Ka).

Atomic structure:
```
K3IrBrF6
1.0
7.9676 0.0000 0.0000
0.0000 7.9676 0.0000
0.0000 0.0000 5.8800
K Ir Br F
6 2 2 12
Direct
0.0000 0.0000 0.0000 K
0.1682 0.3318 0.5000 K
0.3318 0.8318 0.5000 K
0.5000 0.5000 0.0000 K
0.6682 0.1682 0.5000 K
0.8318 0.6682 0.5000 K
0.0000 0.5000 0.0000 Ir
0.5000 0.0000 0.0000 Ir
0.0000 0.0000 0.5000 Br
0.5000 0.5000 0.5000 Br
0.1183 0.6183 0.2464 F
0.1183 0.6183 0.7536 F
0.1739 0.3261 0.0000 F
0.3261 0.8261 0.0000 F
0.3817 0.1183 0.2464 F
0.3817 0.1183 0.7536 F
0.6183 0.8817 0.2464 F
0.6183 0.8817 0.7536 F
0.6739 0.1739 0.0000 F
0.8261 0.6739 0.0000 F
0.8817 0.3817 0.2464 F
0.8817 0.3817 0.7536 F
```

Top 10 peaks for 2θ = 15–90°, low angle first:
Position (°2θ)	I (rel.)
15.73	42
21.85	100
22.32	64
27.04	35
30.40	29
31.77	50
38.04	29
38.89	61
44.55	38
60.79	29

For K3TaBrF6, the GGA-PBE geometry in OQMD gives the calculated powder diffractogram in this record (Cu Ka).

Atomic structure:
```
K3TaBrF6
1.0
7.9902 0.0000 0.0000
0.0000 7.9902 0.0000
0.0000 0.0000 5.9215
K Ta Br F
6 2 2 12
Direct
0.0000 0.0000 0.0000 K
0.1768 0.3232 0.5000 K
0.3232 0.8232 0.5000 K
0.5000 0.5000 0.0000 K
0.6768 0.1768 0.5000 K
0.8232 0.6768 0.5000 K
0.0000 0.5000 0.0000 Ta
0.5000 0.0000 0.0000 Ta
0.0000 0.0000 0.5000 Br
0.5000 0.5000 0.5000 Br
0.1155 0.6155 0.2533 F
0.1155 0.6155 0.7467 F
0.1775 0.3225 0.0000 F
0.3225 0.8225 0.0000 F
0.3845 0.1155 0.2533 F
0.3845 0.1155 0.7467 F
0.6155 0.8845 0.2533 F
0.6155 0.8845 0.7467 F
0.6775 0.1775 0.0000 F
0.8225 0.6775 0.0000 F
0.8845 0.3845 0.2533 F
0.8845 0.3845 0.7467 F
```

Top 10 peaks for 2θ = 15–90°, low angle first:
Position (°2θ)	I (rel.)
15.68	37
21.74	100
22.25	60
26.92	36
30.19	30
31.67	54
37.82	27
38.75	59
44.32	41
60.52	29

For ReBrNF5, the GGA-PBE geometry in OQMD gives the calculated powder diffractogram in this record (Cu Ka).

Atomic structure:
```
ReBrNF5
1.0
4.5828 0.0000 0.0000
0.0000 7.7869 0.0000
-0.1313 0.0000 6.0334
Re Br N F
2 2 2 10
Direct
0.0310 0.2500 0.2058 Re
0.9690 0.7500 0.7942 Re
0.4528 0.2500 0.7398 Br
0.5472 0.7500 0.2602 Br
0.2307 0.2500 0.9656 N
0.7693 0.7500 0.0344 N
0.1846 0.7500 0.5174 F
0.2424 0.5833 0.8902 F
0.2424 0.9167 0.8902 F
0.2500 0.0769 0.3482 F
0.2500 0.4231 0.3482 F
0.7500 0.5769 0.6518 F
0.7500 0.9231 0.6518 F
0.7576 0.0833 0.1098 F
0.7576 0.4167 0.1098 F
0.8154 0.2500 0.4826 F
```

Top 10 peaks for 2θ = 15–90°, low angle first:
Position (°2θ)	I (rel.)
18.60	50
22.84	70
26.75	82
27.22	100
29.61	25
37.72	25
42.91	47
45.97	21
50.55	21
56.18	21

For Sm2PBrF, the GGA-PBE geometry in OQMD gives the calculated powder diffractogram in this record (Cu Ka).

Atomic structure:
```
Sm2PBrF
1.0
3.9801 0.0000 0.0000
-1.9901 3.4469 0.0000
0.0000 0.0000 8.4674
Sm P Br F
2 1 1 1
Direct
0.0000 0.0000 0.0000 Sm
0.3333 0.6667 0.6183 Sm
0.6667 0.3333 0.8119 P
0.3333 0.6667 0.2295 Br
0.0000 0.0000 0.5132 F
```

Top 10 peaks for 2θ = 15–90°, low angle first:
Position (°2θ)	I (rel.)
20.98	20
25.85	39
27.95	80
33.53	100
41.34	41
45.58	49
50.63	30
56.59	18
57.76	20
76.50	18

For Rb2PdBr3F, the GGA-PBE geometry in OQMD gives the calculated powder diffractogram in this record (Cu Ka).

Atomic structure:
```
Rb2PdBr3F
1.0
4.2511 0.0000 0.0000
0.0000 9.4464 0.0000
0.0000 0.0000 11.0205
Rb Pd Br F
4 2 6 2
Direct
0.0000 0.2086 0.0000 Rb
0.0000 0.2914 0.5000 Rb
0.0000 0.7086 0.5000 Rb
0.0000 0.7914 0.0000 Rb
0.5000 0.0000 0.7523 Pd
0.5000 0.5000 0.2523 Pd
0.5000 0.0000 0.5333 Br
0.5000 0.2398 0.2535 Br
0.5000 0.2602 0.7535 Br
0.5000 0.5000 0.0333 Br
0.5000 0.7398 0.7535 Br
0.5000 0.7602 0.2535 Br
0.5000 0.0000 0.9415 F
0.5000 0.5000 0.4415 F
```

Top 10 peaks for 2θ = 15–90°, low angle first:
Position (°2θ)	I (rel.)
20.90	30
24.34	51
26.48	100
28.24	26
29.50	36
32.50	59
32.67	79
38.11	31
42.53	32
54.53	27

For Pr2SbBrF, the GGA-PBE geometry in OQMD gives the calculated powder diffractogram in this record (Cu Ka).

Atomic structure:
```
Pr2SbBrF
1.0
4.2409 0.0000 0.0000
-2.1204 3.6727 0.0000
0.0000 0.0000 8.9738
Pr Sb Br F
2 1 1 1
Direct
0.0000 0.0000 0.0000 Pr
0.3333 0.6667 0.5728 Pr
0.6667 0.3333 0.7897 Sb
0.3333 0.6667 0.2146 Br
0.0000 0.0000 0.4926 F
```

Top 10 peaks for 2θ = 15–90°, low angle first:
Position (°2θ)	I (rel.)
26.22	100
31.48	97
38.83	68
42.64	61
50.75	17
53.95	21
59.02	20
68.49	21
71.09	18
75.50	19

For PtBr2F2, the GGA-PBE geometry in OQMD gives the calculated powder diffractogram in this record (Cu Ka).

Atomic structure:
```
PtBr2F2
1.0
7.1139 0.0000 0.0000
0.0000 7.1871 0.0000
0.0000 0.0000 3.6340
Pt Br F
2 4 4
Direct
0.0000 0.0000 0.0000 Pt
0.5000 0.5000 0.0000 Pt
0.2360 0.0000 0.5000 Br
0.2640 0.5000 0.5000 Br
0.7360 0.5000 0.5000 Br
0.7640 0.0000 0.5000 Br
0.0000 0.2761 0.0000 F
0.0000 0.7239 0.0000 F
0.5000 0.2239 0.0000 F
0.5000 0.7761 0.0000 F
```

Top 10 peaks for 2θ = 15–90°, low angle first:
Position (°2θ)	I (rel.)
17.54	100
24.78	57
30.29	39
35.31	70
39.70	17
43.61	51
47.20	15
47.50	21
50.21	13
63.39	24

For Fe3Br2, the GGA-PBE geometry in OQMD gives the calculated powder diffractogram in this record (Cu Ka).

Atomic structure:
```
Fe3Br2
1.0
3.1774 1.8345 5.1347
-3.1774 1.8345 5.1347
0.0000 -3.6690 5.1347
Fe Br
6 4
Direct
0.0349 0.2500 0.4651 Fe
0.2500 0.4651 0.0349 Fe
0.4651 0.0349 0.2500 Fe
0.5349 0.9651 0.7500 Fe
0.7500 0.5349 0.9651 Fe
0.9651 0.7500 0.5349 Fe
0.1032 0.1032 0.1032 Br
0.3968 0.3968 0.3968 Br
0.6032 0.6032 0.6032 Br
0.8968 0.8968 0.8968 Br
```

Top 10 peaks for 2θ = 15–90°, low angle first:
Position (°2θ)	I (rel.)
28.08	100
33.16	57
34.95	89
40.28	70
43.92	51
45.15	41
49.82	99
53.13	28
77.03	31
79.90	52

For FeBr3, the GGA-PBE geometry in OQMD gives the calculated powder diffractogram in this record (Cu Ka).

Atomic structure:
```
FeBr3
1.0
0.0000 6.2829 6.2829
6.2829 0.0000 6.2829
6.2829 6.2829 0.0000
Fe Br
4 12
Direct
0.0000 0.0000 0.0000 Fe
0.0000 0.0000 0.5000 Fe
0.0000 0.5000 0.0000 Fe
0.5000 0.0000 0.0000 Fe
0.0770 0.0770 0.6730 Br
0.0770 0.6730 0.0770 Br
0.0770 0.6730 0.6730 Br
0.3270 0.3270 0.9230 Br
0.3270 0.9230 0.3270 Br
0.3270 0.9230 0.9230 Br
0.6730 0.0770 0.0770 Br
0.6730 0.0770 0.6730 Br
0.6730 0.6730 0.0770 Br
0.9230 0.3270 0.3270 Br
0.9230 0.3270 0.9230 Br
0.9230 0.9230 0.3270 Br
```

Top 10 peaks for 2θ = 15–90°, low angle first:
Position (°2θ)	I (rel.)
19.99	46
23.48	37
28.41	61
34.98	86
37.18	85
40.61	100
42.56	30
51.97	64
56.23	46
62.74	62

For FeBr3, the GGA-PBE geometry in OQMD gives the calculated powder diffractogram in this record (Cu Ka).

Atomic structure:
```
FeBr3
1.0
7.7388 0.0000 0.0000
0.0000 7.1762 0.0000
-1.1804 0.0000 10.5214
Fe Br
4 12
Direct
0.1922 0.0889 0.0509 Fe
0.1922 0.4111 0.5509 Fe
0.8078 0.5889 0.4491 Fe
0.8078 0.9111 0.9491 Fe
0.0834 0.5713 0.3509 Br
0.0834 0.9287 0.8509 Br
0.2557 0.1070 0.5130 Br
0.2557 0.3930 0.0130 Br
0.4026 0.5809 0.6684 Br
0.4026 0.9191 0.1684 Br
0.5974 0.0809 0.8316 Br
0.5974 0.4191 0.3316 Br
0.7443 0.6070 0.9870 Br
0.7443 0.8930 0.4870 Br
0.9166 0.0713 0.1491 Br
0.9166 0.4287 0.6491 Br
```

Top 10 peaks for 2θ = 15–90°, low angle first:
Position (°2θ)	I (rel.)
16.87	21
24.85	79
27.16	60
28.33	100
28.45	43
37.08	22
37.27	22
43.75	61
52.16	21
52.31	19

For GdTmFe2Br2, the GGA-PBE geometry in OQMD gives the calculated powder diffractogram in this record (Cu Ka).

Atomic structure:
```
GdTmFe2Br2
1.0
3.8490 0.0000 0.0000
-1.9245 3.3333 0.0000
0.0000 0.0000 11.5647
Gd Tm Fe Br
1 1 2 2
Direct
0.0000 0.0000 0.0000 Gd
0.0000 0.0000 0.3396 Tm
0.3333 0.6667 0.1677 Fe
0.6667 0.3333 0.1793 Fe
0.3333 0.6667 0.5024 Br
0.6667 0.3333 0.8307 Br
```

Top 10 peaks for 2θ = 15–90°, low angle first:
Position (°2θ)	I (rel.)
26.74	16
27.85	30
30.96	39
35.61	100
41.34	11
47.21	50
47.89	17
60.52	21
68.95	23
80.14	19

For HfFeBr6, the GGA-PBE geometry in OQMD gives the calculated powder diffractogram in this record (Cu Ka).

Atomic structure:
```
HfFeBr6
1.0
3.3057 -5.7677 0.0000
3.3057 5.7677 0.0000
-0.0898 0.0000 13.1778
Hf Fe Br
2 2 12
Direct
0.1736 0.8264 0.7500 Hf
0.8264 0.1736 0.2500 Hf
0.4925 0.5075 0.7500 Fe
0.5075 0.4925 0.2500 Fe
0.1632 0.4764 0.3655 Br
0.1684 0.1899 0.1381 Br
0.1854 0.5201 0.8690 Br
0.1899 0.1684 0.6381 Br
0.4764 0.1632 0.8655 Br
0.4799 0.8146 0.6310 Br
0.5201 0.1854 0.3690 Br
0.5236 0.8368 0.1345 Br
0.8101 0.8316 0.3619 Br
0.8146 0.4799 0.1310 Br
0.8316 0.8101 0.8619 Br
0.8368 0.5236 0.6345 Br
```

Top 10 peaks for 2θ = 15–90°, low angle first:
Position (°2θ)	I (rel.)
16.80	52
16.89	29
30.08	100
30.33	40
38.41	44
38.72	18
47.28	15
47.56	29
49.69	19
49.84	26

For LiFeBr4, the GGA-PBE geometry in OQMD gives the calculated powder diffractogram in this record (Cu Ka).

Atomic structure:
```
LiFeBr4
1.0
6.1481 0.0000 0.0000
0.0000 6.1481 0.0000
0.0000 0.0000 10.8397
Li Fe Br
2 2 8
Direct
0.0000 0.0000 0.0000 Li
0.5000 0.5000 0.5000 Li
0.0000 0.5000 0.2500 Fe
0.5000 0.0000 0.7500 Fe
0.2209 0.2741 0.1275 Br
0.2259 0.7209 0.3725 Br
0.2741 0.7791 0.8725 Br
0.2791 0.2259 0.6275 Br
0.7209 0.7741 0.6275 Br
0.7259 0.2209 0.8725 Br
0.7741 0.2791 0.3725 Br
0.7791 0.7259 0.1275 Br
```

Top 10 peaks for 2θ = 15–90°, low angle first:
Position (°2θ)	I (rel.)
16.58	29
26.28	100
29.05	22
33.06	9
41.26	8
41.55	17
44.57	30
49.83	26
55.05	12
71.26	9